Structure and computed X-ray powder pattern of RbErSeO (a cell relaxed with PBE; CuKα).

Peak list (6 most intense, 10 to 80 degrees two-theta, low angle first)
- 2θ 23.45, intensity 39.1, (1 1 1)
- 2θ 26.63, intensity 52.0, (1 1 2)
- 2θ 28.88, intensity 100.0, (1 1 -3)
- 2θ 32.75, intensity 40.4, (2 0 1)
- 2θ 36.28, intensity 59.3, (1 1 4)
- 2θ 44.84, intensity 72.2, (2 2 -1)

```
data_RbErSeO
_chemical_formula_sum 'Rb4 Er4 Se4 O4'
_symmetry_space_group_name_H-M 'P 1 21 1'
_symmetry_Int_Tables_number 4
_cell_length_a 5.737
_cell_length_b 5.732
_cell_length_c 13.296
_cell_angle_alpha 90.00
_cell_angle_beta 95.72
_cell_angle_gamma 90.00
loop_
_symmetry_equiv_pos_as_xyz
'x,y,z'
'-x,y+1/2,-z'
loop_
_atom_site_label
_atom_site_type_symbol
_atom_site_fract_x
_atom_site_fract_y
_atom_site_fract_z
_atom_site_occupancy
Rb1 Rb 0.138 0.000 0.148 1
Rb2 Rb 0.361 0.003 0.850 1
Er1 Er 0.021 0.295 0.576 1
Er2 Er 0.480 0.293 0.425 1
Se1 Se 0.160 0.499 0.264 1
Se2 Se 0.341 0.500 0.736 1
O1 O 0.250 0.047 0.500 1
O2 O 0.250 0.549 0.500 1
```